Pm3Nd7Dy: computed X-ray diffraction stick pattern (Cu Kα (λ = 1.5418 Å)), based on a GGA-PBE-relaxed structure.
No peak broadening, texture or thermal motion is included.

Cell and atoms:
```
data_Pm3Nd7Dy
_chemical_formula_sum 'Pm6 Nd14 Dy2'
_space_group_name_H-M_alt 'C 1 2/m 1'
_space_group_IT_number 12
_cell_length_a 11.825
_cell_length_b 10.296
_cell_length_c 6.529
_cell_angle_alpha 90.00
_cell_angle_beta 95.02
_cell_angle_gamma 90.00
loop_
_space_group_symop_operation_xyz
'x,y,z'
'-x,-y,-z'
'-x,y,-z'
'x,-y,z'
'x+1/2,y+1/2,z'
'-x+1/2,-y+1/2,-z'
'-x+1/2,y+1/2,-z'
'x+1/2,-y+1/2,z'
loop_
_atom_site_label
_atom_site_type_symbol
_atom_site_fract_x
_atom_site_fract_y
_atom_site_fract_z
Pm1 Pm 0.000 0.000 0.000
Pm2 Pm 0.000 0.171 0.500
Nd1 Nd 0.000 0.500 0.500
Nd2 Nd 0.239 0.000 0.714
Nd3 Nd 0.245 0.327 0.761
Dy1 Dy 0.000 0.500 0.000
```

Peak list (10 most intense, 10° ≤ 2θ ≤ 90°, low angle first)
| two_theta | Rel. int. | hkl |
| --- | --- | --- |
| 30.21 | 81 | 2 0 -2 |
| 30.35 | 83 | 4 0 0 |
| 30.72 | 100 | 1 3 1 |
| 32.59 | 71 | 2 0 2 |
| 36.68 | 63 | 3 3 -1 |
| 49.78 | 24 | 1 3 -3 |
| 49.97 | 25 | 5 3 1 |
| 52.28 | 17 | 6 0 -2 |
| 62.62 | 40 | 4 6 0 |
| 63.97 | 18 | 2 6 2 |

Pm6Nd8Dy: computed X-ray diffraction stick pattern (Cu Kα (λ = 1.5418 Å)), based on a GGA-PBE-relaxed structure.
No peak broadening, texture or thermal motion is included.

Cell and atoms:
```
data_Pm6Nd8Dy
_chemical_formula_sum 'Pm18 Nd24 Dy3'
_space_group_name_H-M_alt 'R -3'
_space_group_IT_number 148
_space_group_name_Hall '-R 3'
_cell_length_a 9.2926
_cell_length_b 9.2926
_cell_length_c 21.0929
_cell_angle_alpha 90.00
_cell_angle_beta 90.00
_cell_angle_gamma 120.00
loop_
_atom_site_label
_atom_site_type_symbol
_atom_site_fract_x
_atom_site_fract_y
_atom_site_fract_z
Pm1 Pm 0.0520 0.8053 0.2072
Nd1 Nd 0.0000 0.0000 0.0778
Nd2 Nd 0.0805 0.5236 0.3066
Dy1 Dy 0.0000 0.0000 0.5000
```

Peak list (10 most intense, 10° ≤ 2θ ≤ 90°, low angle first)
| two_theta | Rel. int. | hkl |
| --- | --- | --- |
| 29.67 | 41 | 2 1 1 |
| 30.59 | 100 | 1 2 2 |
| 30.71 | 67 | 2 0 5 |
| 31.71 | 49 | 1 0 7 |
| 31.92 | 18 | 2 -1 6 |
| 34.03 | 19 | 3 -1 4 |
| 35.83 | 23 | 0 3 3 |
| 51.80 | 17 | 0 3 9 |
| 53.81 | 21 | 4 1 3 |
| 58.64 | 15 | 3 2 7 |

Pm5NdDy5: computed X-ray diffraction stick pattern (Cu Kα (λ = 1.5418 Å)), based on a GGA-PBE-relaxed structure.
No peak broadening, texture or thermal motion is included.

Cell and atoms:
```
data_Pm5NdDy5
_chemical_formula_sum 'Pm5 Nd1 Dy5'
_space_group_name_H-M_alt 'P -6 m 2'
_space_group_IT_number 187
_space_group_name_Hall 'P -6 2'
_cell_length_a 6.1375
_cell_length_b 6.1375
_cell_length_c 11.7378
_cell_angle_alpha 90.00
_cell_angle_beta 90.00
_cell_angle_gamma 120.00
loop_
_atom_site_label
_atom_site_type_symbol
_atom_site_fract_x
_atom_site_fract_y
_atom_site_fract_z
Pm1 Pm 0.0000 0.0000 0.0000
Pm2 Pm 0.3333 0.6667 0.3216
Pm3 Pm 0.6667 0.3333 0.1563
Nd1 Nd 0.3333 0.6667 0.0000
Dy1 Dy 0.0000 0.0000 0.2659
Dy2 Dy 0.3340 0.1670 0.5000
```

Peak list (10 most intense, 10° ≤ 2θ ≤ 90°, low angle first)
| two_theta | Rel. int. | hkl |
| --- | --- | --- |
| 28.32 | 100 | 1 0 3 |
| 29.10 | 85 | 1 1 0 |
| 30.10 | 30 | 1 1 1 |
| 32.94 | 26 | 1 1 2 |
| 34.61 | 37 | 2 0 1 |
| 34.93 | 35 | 1 0 4 |
| 37.14 | 28 | 2 0 2 |
| 37.24 | 24 | 1 1 3 |
| 51.11 | 39 | 2 1 3 |
| 60.32 | 29 | 2 2 0 |

Pm5Nd2Dy3: computed X-ray diffraction stick pattern (Cu Kα (λ = 1.5418 Å)), based on a GGA-PBE-relaxed structure.
No peak broadening, texture or thermal motion is included.

Cell and atoms:
```
data_Pm5Nd2Dy3
_chemical_formula_sum 'Pm20 Nd8 Dy12'
_space_group_name_H-M_alt 'C 1 2/c 1'
_space_group_IT_number 15
_cell_length_a 10.929
_cell_length_b 15.665
_cell_length_c 9.700
_cell_angle_alpha 90.00
_cell_angle_beta 123.99
_cell_angle_gamma 90.00
loop_
_space_group_symop_operation_xyz
'x,y,z'
'-x,-y,-z'
'-x,y,-z+1/2'
'x,-y,z+1/2'
'x+1/2,y+1/2,z'
'-x+1/2,-y+1/2,-z'
'-x+1/2,y+1/2,-z+1/2'
'x+1/2,-y+1/2,z+1/2'
loop_
_atom_site_label
_atom_site_type_symbol
_atom_site_fract_x
_atom_site_fract_y
_atom_site_fract_z
Pm1 Pm 0.000 0.032 0.250
Pm2 Pm 0.000 0.230 0.250
Pm3 Pm 0.000 0.270 0.750
Pm4 Pm 0.234 0.118 0.721
Nd1 Nd 0.144 0.377 0.552
Dy1 Dy 0.000 0.477 0.750
Dy2 Dy 0.157 0.121 0.046
```

Peak list (10 most intense, 10° ≤ 2θ ≤ 90°, low angle first)
| two_theta | Rel. int. | hkl |
| --- | --- | --- |
| 29.79 | 48 | 2 2 1 |
| 29.92 | 49 | 2 2 -3 |
| 30.19 | 100 | 2 4 0 |
| 31.90 | 24 | 0 4 2 |
| 32.78 | 48 | 4 0 -2 |
| 38.20 | 17 | 2 6 -1 |
| 46.34 | 18 | 0 8 0 |
| 48.68 | 20 | 0 6 3 |
| 56.85 | 17 | 6 4 -2 |
| 66.28 | 19 | 2 10 -3 |

Pm3Nd2Dy4: computed X-ray diffraction stick pattern (Cu Kα (λ = 1.5418 Å)), based on a GGA-PBE-relaxed structure.
No peak broadening, texture or thermal motion is included.

Cell and atoms:
```
data_Pm3Nd2Dy4
_chemical_formula_sum 'Pm3 Nd2 Dy4'
_space_group_name_H-M_alt 'P -1'
_space_group_IT_number 2
_cell_length_a 6.241
_cell_length_b 6.260
_cell_length_c 8.066
_cell_angle_alpha 82.57
_cell_angle_beta 75.08
_cell_angle_gamma 80.40
loop_
_space_group_symop_operation_xyz
'x,y,z'
'-x,-y,-z'
loop_
_atom_site_label
_atom_site_type_symbol
_atom_site_fract_x
_atom_site_fract_y
_atom_site_fract_z
Pm1 Pm 0.000 0.000 0.000
Pm2 Pm 0.443 0.889 0.222
Nd1 Nd 0.332 0.668 0.667
Dy1 Dy 0.110 0.224 0.555
Dy2 Dy 0.222 0.446 0.112
```

Peak list (10 most intense, 10° ≤ 2θ ≤ 90°, low angle first)
| two_theta | Rel. int. | hkl |
| --- | --- | --- |
| 30.34 | 100 | 2 1 1 |
| 35.17 | 51 | 1 1 3 |
| 50.57 | 30 | 2 3 2 |
| 50.66 | 6 | 3 0 3 |
| 60.14 | 36 | 3 3 0 |
| 63.14 | 9 | 4 2 2 |
| 82.27 | 6 | 2 5 3 |
| 82.38 | 7 | 4 4 3 |
| 82.48 | 4 | 5 2 0 |
| 84.93 | 8 | 3 5 1 |

PmNd4Dy8: computed X-ray diffraction stick pattern (Cu Kα (λ = 1.5418 Å)), based on a GGA-PBE-relaxed structure.
No peak broadening, texture or thermal motion is included.

Cell and atoms:
```
data_PmNd4Dy8
_chemical_formula_sum 'Pm1 Nd4 Dy8'
_space_group_name_H-M_alt 'P m -3 m'
_space_group_IT_number 221
_space_group_name_Hall '-P 4 2 3'
_cell_length_a 7.833
_cell_length_b 7.833
_cell_length_c 7.833
_cell_angle_alpha 90.00
_cell_angle_beta 90.00
_cell_angle_gamma 90.00
loop_
_atom_site_label
_atom_site_type_symbol
_atom_site_fract_x
_atom_site_fract_y
_atom_site_fract_z
Pm1 Pm 0.000 0.000 0.000
Nd1 Nd 0.000 0.000 0.500
Nd2 Nd 0.500 0.500 0.500
Dy1 Dy 0.261 0.261 0.261
```

Peak list (10 most intense, 10° ≤ 2θ ≤ 90°, low angle first)
| two_theta | Rel. int. | hkl |
| --- | --- | --- |
| 19.63 | 11 | 1 1 1 |
| 22.70 | 9 | 2 0 0 |
| 25.43 | 5 | 2 1 0 |
| 32.32 | 100 | 2 2 0 |
| 38.10 | 6 | 3 1 1 |
| 46.36 | 18 | 4 0 0 |
| 57.65 | 37 | 4 2 2 |
| 67.66 | 11 | 4 4 0 |
| 76.99 | 15 | 6 2 0 |
| 85.97 | 4 | 4 4 4 |

Pm4NdDy5: computed X-ray diffraction stick pattern (Cu Kα (λ = 1.5418 Å)), based on a GGA-PBE-relaxed structure.
No peak broadening, texture or thermal motion is included.

Cell and atoms:
```
data_Pm4NdDy5
_chemical_formula_sum 'Pm4 Nd1 Dy5'
_space_group_name_H-M_alt 'P -1'
_space_group_IT_number 2
_cell_length_a 3.602
_cell_length_b 7.191
_cell_length_c 12.972
_cell_angle_alpha 82.04
_cell_angle_beta 82.07
_cell_angle_gamma 89.98
loop_
_space_group_symop_operation_xyz
'x,y,z'
'-x,-y,-z'
loop_
_atom_site_label
_atom_site_type_symbol
_atom_site_fract_x
_atom_site_fract_y
_atom_site_fract_z
Pm1 Pm 0.101 0.302 0.297
Pm2 Pm 0.102 0.800 0.297
Nd1 Nd 0.500 0.000 0.500
Dy1 Dy 0.298 0.400 0.903
Dy2 Dy 0.299 0.899 0.903
Dy3 Dy 0.500 0.500 0.500
```

Peak list (10 most intense, 10° ≤ 2θ ≤ 90°, low angle first)
| two_theta | Rel. int. | hkl |
| --- | --- | --- |
| 30.41 | 100 | 1 0 3 |
| 30.44 | 33 | 0 2 3 |
| 35.27 | 67 | 1 2 1 |
| 50.74 | 48 | 2 0 1 |
| 60.32 | 57 | 2 2 4 |
| 63.26 | 8 | 2 0 6 |
| 82.58 | 10 | 3 0 4 |
| 82.69 | 14 | 0 6 4 |
| 85.24 | 11 | 3 2 2 |
| 85.33 | 11 | 1 6 2 |

Pm4NdDy7: computed X-ray diffraction stick pattern (Cu Kα (λ = 1.5418 Å)), based on a GGA-PBE-relaxed structure.
No peak broadening, texture or thermal motion is included.

Cell and atoms:
```
data_Pm4NdDy7
_chemical_formula_sum 'Pm4 Nd1 Dy7'
_space_group_name_H-M_alt 'P -1'
_space_group_IT_number 2
_cell_length_a 6.581
_cell_length_b 6.872
_cell_length_c 9.105
_cell_angle_alpha 85.21
_cell_angle_beta 77.14
_cell_angle_gamma 81.86
loop_
_space_group_symop_operation_xyz
'x,y,z'
'-x,-y,-z'
loop_
_atom_site_label
_atom_site_type_symbol
_atom_site_fract_x
_atom_site_fract_y
_atom_site_fract_z
Pm1 Pm 0.138 0.307 0.285
Pm2 Pm 0.338 0.887 0.690
Nd1 Nd 0.500 0.500 0.000
Dy1 Dy 0.014 0.250 0.950
Dy2 Dy 0.181 0.801 0.359
Dy3 Dy 0.311 0.395 0.615
Dy4 Dy 0.500 0.000 0.000
```

Peak list (10 most intense, 10° ≤ 2θ ≤ 90°, low angle first)
| two_theta | Rel. int. | hkl |
| --- | --- | --- |
| 30.25 | 35 | 0 0 3 |
| 30.90 | 38 | 2 0 2 |
| 31.41 | 100 | 1 -2 0 |
| 31.84 | 51 | 2 0 -1 |
| 32.06 | 33 | 1 2 2 |
| 32.37 | 18 | 0 1 3 |
| 42.97 | 12 | 1 -2 3 |
| 45.31 | 12 | -1 2 3 |
| 46.31 | 13 | 3 2 1 |
| 56.53 | 16 | 3 2 -2 |

Pm10NdDy4: computed X-ray diffraction stick pattern (Cu Kα (λ = 1.5418 Å)), based on a GGA-PBE-relaxed structure.
No peak broadening, texture or thermal motion is included.

Cell and atoms:
```
data_Pm10NdDy4
_chemical_formula_sum 'Pm20 Nd2 Dy8'
_space_group_name_H-M_alt 'I 4/m'
_space_group_IT_number 87
_space_group_name_Hall '-I 4'
_cell_length_a 12.346
_cell_length_b 12.346
_cell_length_c 7.785
_cell_angle_alpha 90.00
_cell_angle_beta 90.00
_cell_angle_gamma 90.00
loop_
_atom_site_label
_atom_site_type_symbol
_atom_site_fract_x
_atom_site_fract_y
_atom_site_fract_z
Pm1 Pm 0.000 0.500 0.250
Pm2 Pm 0.100 0.798 0.249
Nd1 Nd 0.000 0.000 0.500
Dy1 Dy 0.100 0.300 0.000
```

Peak list (10 most intense, 10° ≤ 2θ ≤ 90°, low angle first)
| two_theta | Rel. int. | hkl |
| --- | --- | --- |
| 19.71 | 28 | 2 1 1 |
| 22.80 | 11 | 1 3 0 |
| 32.46 | 100 | 4 2 0 |
| 38.27 | 16 | 5 0 1 |
| 46.52 | 12 | 2 6 0 |
| 46.67 | 6 | 0 0 4 |
| 51.03 | 7 | 6 3 1 |
| 57.91 | 38 | 7 1 2 |
| 68.02 | 8 | 2 6 4 |
| 77.29 | 11 | 10 0 0 |

Pm5Nd2Dy: computed X-ray diffraction stick pattern (Cu Kα (λ = 1.5418 Å)), based on a GGA-PBE-relaxed structure.
No peak broadening, texture or thermal motion is included.

Cell and atoms:
```
data_Pm5Nd2Dy
_chemical_formula_sum 'Pm20 Nd8 Dy4'
_space_group_name_H-M_alt 'C 1 2/c 1'
_space_group_IT_number 15
_cell_length_a 16.595
_cell_length_b 10.169
_cell_length_c 6.668
_cell_angle_alpha 90.00
_cell_angle_beta 100.92
_cell_angle_gamma 90.00
loop_
_space_group_symop_operation_xyz
'x,y,z'
'-x,-y,-z'
'-x,y,-z+1/2'
'x,-y,z+1/2'
'x+1/2,y+1/2,z'
'-x+1/2,-y+1/2,-z'
'-x+1/2,y+1/2,-z+1/2'
'x+1/2,-y+1/2,z+1/2'
loop_
_atom_site_label
_atom_site_type_symbol
_atom_site_fract_x
_atom_site_fract_y
_atom_site_fract_z
Pm1 Pm 0.000 0.063 0.250
Pm2 Pm 0.097 0.409 0.155
Pm3 Pm 0.204 0.085 0.028
Nd1 Nd 0.083 0.258 0.637
Dy1 Dy 0.250 0.250 0.500
```

Peak list (10 most intense, 10° ≤ 2θ ≤ 90°, low angle first)
| two_theta | Rel. int. | hkl |
| --- | --- | --- |
| 28.77 | 37 | 5 1 0 |
| 29.36 | 29 | 4 2 -1 |
| 30.39 | 30 | 3 1 -2 |
| 30.67 | 100 | 1 3 1 |
| 31.32 | 47 | 2 0 2 |
| 38.92 | 12 | 5 3 -1 |
| 42.81 | 13 | 4 4 -1 |
| 44.61 | 13 | 2 2 -3 |
| 54.10 | 13 | 0 6 0 |
| 55.34 | 17 | 3 3 3 |

Pm6NdDy4: computed X-ray diffraction stick pattern (Cu Kα (λ = 1.5418 Å)), based on a GGA-PBE-relaxed structure.
No peak broadening, texture or thermal motion is included.

Cell and atoms:
```
data_Pm6NdDy4
_chemical_formula_sum 'Pm24 Nd4 Dy16'
_space_group_name_H-M_alt 'C m c m'
_space_group_IT_number 63
_space_group_name_Hall '-C 2c 2'
_cell_length_a 5.885
_cell_length_b 9.685
_cell_length_c 25.862
_cell_angle_alpha 90.00
_cell_angle_beta 90.00
_cell_angle_gamma 90.00
loop_
_atom_site_label
_atom_site_type_symbol
_atom_site_fract_x
_atom_site_fract_y
_atom_site_fract_z
Pm1 Pm 0.000 0.000 0.000
Pm2 Pm 0.000 0.058 0.250
Pm3 Pm 0.000 0.295 0.600
Pm4 Pm 0.000 0.384 0.181
Nd1 Nd 0.000 0.282 0.750
Dy1 Dy 0.000 0.049 0.123
Dy2 Dy 0.000 0.352 0.043
```

Peak list (10 most intense, 10° ≤ 2θ ≤ 90°, low angle first)
| two_theta | Rel. int. | hkl |
| --- | --- | --- |
| 30.01 | 44 | 1 1 7 |
| 30.40 | 100 | 2 0 0 |
| 31.61 | 52 | 1 3 0 |
| 31.80 | 45 | 1 3 1 |
| 32.94 | 48 | 1 1 8 |
| 43.54 | 32 | 2 2 7 |
| 54.76 | 11 | 3 3 0 |
| 55.62 | 11 | 3 1 8 |
| 56.90 | 11 | 2 4 8 |
| 63.17 | 13 | 4 0 0 |

Pm4NdDy: computed X-ray diffraction stick pattern (Cu Kα (λ = 1.5418 Å)), based on a GGA-PBE-relaxed structure.
No peak broadening, texture or thermal motion is included.

Cell and atoms:
```
data_Pm4NdDy
_chemical_formula_sum 'Pm4 Nd1 Dy1'
_space_group_name_H-M_alt 'P m m m'
_space_group_IT_number 47
_cell_length_a 3.644
_cell_length_b 5.129
_cell_length_c 10.945
_cell_angle_alpha 90.00
_cell_angle_beta 90.00
_cell_angle_gamma 90.00
loop_
_space_group_symop_operation_xyz
'x,y,z'
'-x,-y,-z'
'-x,-y,z'
'x,y,-z'
'x,-y,-z'
'-x,y,z'
'-x,y,-z'
'x,-y,z'
loop_
_atom_site_label
_atom_site_type_symbol
_atom_site_fract_x
_atom_site_fract_y
_atom_site_fract_z
Pm1 Pm 0.000 0.000 0.165
Pm2 Pm 0.500 0.500 0.331
Nd1 Nd 0.000 0.000 0.500
Dy1 Dy 0.500 0.500 0.000
```

Peak list (10 most intense, 10° ≤ 2θ ≤ 90°, low angle first)
| two_theta | Rel. int. | hkl |
| --- | --- | --- |
| 30.07 | 100 | 1 1 0 |
| 34.79 | 34 | 1 0 3 |
| 34.99 | 17 | 0 2 0 |
| 50.03 | 12 | 2 0 0 |
| 50.17 | 24 | 1 2 3 |
| 59.48 | 29 | 2 1 3 |
| 59.74 | 14 | 1 3 0 |
| 62.50 | 12 | 2 2 0 |
| 81.58 | 12 | 2 3 3 |
| 84.00 | 8 | 3 0 3 |

Pm2Nd2Dy3: computed X-ray diffraction stick pattern (Cu Kα (λ = 1.5418 Å)), based on a GGA-PBE-relaxed structure.
No peak broadening, texture or thermal motion is included.

Cell and atoms:
```
data_Pm2Nd2Dy3
_chemical_formula_sum 'Pm4 Nd4 Dy6'
_space_group_name_H-M_alt 'P 1 21/c 1'
_space_group_IT_number 14
_cell_length_a 6.442
_cell_length_b 12.636
_cell_length_c 6.973
_cell_angle_alpha 90.00
_cell_angle_beta 122.55
_cell_angle_gamma 90.00
loop_
_space_group_symop_operation_xyz
'x,y,z'
'-x,-y,-z'
'-x,y+1/2,-z+1/2'
'x,-y+1/2,z+1/2'
loop_
_atom_site_label
_atom_site_type_symbol
_atom_site_fract_x
_atom_site_fract_y
_atom_site_fract_z
Pm1 Pm 0.087 0.113 0.436
Nd1 Nd 0.499 0.208 0.336
Dy1 Dy 0.082 0.613 0.648
Dy2 Dy 0.500 0.000 0.000
```

Peak list (10 most intense, 10° ≤ 2θ ≤ 90°, low angle first)
| two_theta | Rel. int. | hkl |
| --- | --- | --- |
| 26.04 | 42 | 1 3 -1 |
| 28.67 | 35 | 2 1 -1 |
| 31.24 | 100 | 0 1 2 |
| 31.35 | 44 | 2 1 -2 |
| 32.80 | 75 | 1 4 0 |
| 32.99 | 32 | 2 0 0 |
| 33.36 | 52 | 1 3 -2 |
| 33.68 | 18 | 0 2 2 |
| 57.49 | 19 | 1 7 -2 |
| 62.90 | 16 | 2 6 1 |